Starting from a structure optimized by DFT (GGA-PBE), the X-ray diffraction stick pattern of Ba7Ru4Cl2O15 was computed for CuKα.

Structural model:
Unit cell a=5.8839 b=5.8839 c=52.3393 alpha=90.00 beta=90.00 gamma=120.00
Space group R-3m (No. 166, hexagonal axes)
Symmetry-distinct sites (fractional):
Ba  0.0000  0.0000  0.0000
Ba  0.0000  0.0000  0.0834
Ba  0.0000  0.0000  0.2060
Ba  0.0000  0.0000  0.2862
Ru  0.0000  0.0000  0.3534
Ru  0.0000  0.0000  0.4064
Cl  0.0000  0.0000  0.1442
O  0.0000  0.5000  0.0000
O  0.0114  0.5057  0.0915
O  0.0319  0.5160  0.2879

Main lines, by intensity (5° ≤ 2θ ≤ 70°):
(0 0 3), 2θ 5.07, I = 100
(1 1 0), 2θ 30.38, I = 68
(0 1 14), 2θ 29.64, I = 32
(1 0 10), 2θ 24.38, I = 19
(2 0 14), 2θ 42.96, I = 15
(3 0 0), 2θ 53.98, I = 13